Computed XRD peak list of LiTh2Ga2Ir5 for λ = 1.5418 Å (Cu Kα), from DFT lattice parameters and positions (GGA-PBE).

Peak list (10 most intense, 2θ = 10–80°, low angle first)
2θ = 30.18°, intensity 14, hkl 2 0 1; 2θ = 31.55°, intensity 31, hkl 2 1 1; 2θ = 37.73°, intensity 100, hkl 4 1 0; 2θ = 38.85°, intensity 18, hkl 3 3 0; 2θ = 41.07°, intensity 37, hkl 3 2 1; 2θ = 44.19°, intensity 11, hkl 4 0 1; 2θ = 49.11°, intensity 16, hkl 0 0 2; 2θ = 63.52°, intensity 25, hkl 4 1 2; 2θ = 65.04°, intensity 13, hkl 6 2 1; 2θ = 65.83°, intensity 13, hkl 5 4 1

Atomic structure:
a = 9.834 Å, b = 9.834 Å, c = 3.710 Å
α = 90.00°, β = 90.00°, γ = 90.00°
Positions (direct):
Li1 0.000 0.000 0.000
Li2 0.500 0.500 0.000
Th1 0.177 0.323 0.000
Th2 0.323 0.823 0.000
Th3 0.677 0.177 0.000
Th4 0.823 0.677 0.000
Ga1 0.121 0.621 0.000
Ga2 0.379 0.121 0.000
Ga3 0.621 0.879 0.000
Ga4 0.879 0.379 0.000
Ir1 0.000 0.500 0.500
Ir2 0.070 0.794 0.500
Ir3 0.206 0.070 0.500
Ir4 0.294 0.570 0.500
Ir5 0.430 0.294 0.500
Ir6 0.500 0.000 0.500
Ir7 0.570 0.706 0.500
Ir8 0.706 0.430 0.500
Ir9 0.794 0.930 0.500
Ir10 0.930 0.206 0.500